The following is a computed X-ray powder pattern of Mn4Br3O2. It was derived from DFT lattice parameters and positions (GGA+U), using Cu Kα (λ = 1.5418 Å).
Neutral-atom scattering factors, no anomalous dispersion.

```
Mn4Br3O2
1.0
5.8494 -5.6929 0.0000
5.8494 5.6929 0.0000
-0.3819 0.0000 5.8894
Mn Br O
8 6 4
Direct
0.1152 0.6444 0.0001
0.2724 0.2769 0.2972
0.2769 0.2724 0.7972
0.3556 0.8848 0.4999
0.6444 0.1152 0.5001
0.7231 0.7276 0.2028
0.7276 0.7231 0.7028
0.8848 0.3556 0.9999
0.0517 0.7514 0.4664
0.2486 0.9483 0.0336
0.4096 0.5904 0.7500
0.5904 0.4096 0.2500
0.7514 0.0517 0.9664
0.9483 0.2486 0.5336
0.1390 0.3889 0.0448
0.3889 0.1390 0.5448
0.6111 0.8610 0.4552
0.8610 0.6111 0.9552
```

The 8 most intense peaks (2θ = 10–90°), sorted by position:
| 2θ/deg | d [Å] | I (rel.) |
| --- | --- | --- |
| 21.8 | 4.084 | 621 |
| 24.7 | 3.609 | 591 |
| 27.2 | 3.283 | 1000 |
| 34.3 | 2.616 | 846 |
| 34.5 | 2.597 | 777 |
| 35.8 | 2.511 | 528 |
| 39.1 | 2.304 | 428 |
| 39.4 | 2.287 | 481 |